# 1
This entry pairs a crystal structure of Hf6Sn2S with its calculated XRD peak list. Radiation: Cu Kα (weighted mean of Kα1 and Kα2). Structure: a crystal structure in Alexandria, relaxed with GGA-PBE.

Top 8 peaks for 10 to 90 degrees two-theta, by intensity:
two_theta  Rel. int.  index
31.8  100.0  0 2 2
34.1  55.3  2 1 -1
35.4  50.6  1 2 -3
39.1  48.4  0 0 4
41.1  47.0  1 3 -1
38.5  45.2  2 1 -4
38.0  42.3  2 1 0
32.7  40.8  2 1 -2

Cell and atoms:
Cell: 5.929 7.091 10.894 Å, 90.00 122.18 90.00°
Space group P2_1/c (No. 14)
Inequivalent atoms, fractional coordinates:
Hf 0.101 0.199 0.464 (multiplicity 4)
Hf 0.314 0.675 0.464 (multiplicity 4)
Hf 0.354 0.016 0.233 (multiplicity 4)
Sn 0.155 0.109 0.744 (multiplicity 4)
S 0.500 0.000 0.500 (multiplicity 2)

=====

# 2
This entry pairs a crystal structure of Eu2Co4Si3Ge with its calculated XRD peak list. Radiation: Cu Kα (weighted mean of Kα1 and Kα2). Structure: a crystal structure in Alexandria, relaxed with GGA-PBE.

Top 8 peaks for 10 to 90 degrees two-theta, by intensity:
two_theta  Rel. int.  index
36.8  100.0  1 1 2
34.8  77.0  1 0 3
46.2  45.3  2 0 0
24.2  39.0  1 0 1
59.1  32.7  2 1 3
63.9  23.4  1 1 6
50.1  20.8  1 0 5
79.3  19.9  3 1 2

Cell and atoms:
Cell: 3.931 3.931 10.263 Å, 90.00 90.00 90.00°
Space group P4mm (No. 99)
Inequivalent atoms, fractional coordinates:
Eu 0.000 0.000 0.000 (multiplicity 1)
Eu 0.500 0.500 0.496 (multiplicity 1)
Co 0.000 0.500 0.247 (multiplicity 2)
Co 0.000 0.500 0.756 (multiplicity 2)
Si 0.000 0.000 0.358 (multiplicity 1)
Si 0.500 0.500 0.133 (multiplicity 1)
Si 0.500 0.500 0.867 (multiplicity 1)
Ge 0.000 0.000 0.630 (multiplicity 1)

=====

# 3
This entry pairs a crystal structure of Co2Ni2W with its calculated XRD peak list. Radiation: Cu Kα (weighted mean of Kα1 and Kα2). Structure: a crystal structure in Alexandria, relaxed with GGA-PBE.

Top 8 peaks for 10 to 90 degrees two-theta, by intensity:
two_theta  Rel. int.  index
42.2  100.0  3 1 0
43.9  64.1  2 0 1
46.0  54.7  2 1 1
37.5  37.8  2 2 0
55.6  35.3  3 1 1
18.5  32.3  1 1 0
39.4  26.5  1 1 1
81.3  26.3  5 1 1

Cell and atoms:
Cell: 6.779 6.779 2.598 Å, 90.00 90.00 90.00°
Space group P4/mbm (No. 127)
Inequivalent atoms, fractional coordinates:
Co 0.174 0.326 0.000 (multiplicity 4)
Ni 0.123 0.623 0.500 (multiplicity 4)
W 0.000 0.000 0.500 (multiplicity 2)

=====

# 4
This entry pairs a crystal structure of Ge2BIr with its calculated XRD peak list. Radiation: Cu Kα (weighted mean of Kα1 and Kα2). Structure: a crystal structure in Alexandria, relaxed with GGA-PBE.

Top 8 peaks for 10 to 90 degrees two-theta, by intensity:
two_theta  Rel. int.  index
33.0  100.0  1 0 1
23.5  58.1  0 1 1
46.0  51.7  1 -2 2
48.7  47.9  1 1 -3
25.6  44.5  0 1 -2
31.7  41.2  0 2 0
34.7  37.3  1 1 -1
16.7  33.6  0 1 -1

Cell and atoms:
Cell: 2.962 5.977 7.246 Å, 109.32 90.04 90.18°
Space group P1 (No. 1)
Inequivalent atoms, fractional coordinates:
Ge 0.000 0.000 0.000 (multiplicity 1)
Ge 0.007 0.349 0.415 (multiplicity 1)
Ge 0.487 0.769 0.692 (multiplicity 1)
Ge 0.504 0.380 0.792 (multiplicity 1)
B 0.003 0.858 0.237 (multiplicity 1)
B 0.503 0.689 0.248 (multiplicity 1)
Ir 0.002 0.445 0.102 (multiplicity 1)
Ir 0.504 0.024 0.469 (multiplicity 1)

=====

# 5
This entry pairs a crystal structure of Ce7Pu2Rh2 with its calculated XRD peak list. Radiation: Cu Kα (weighted mean of Kα1 and Kα2). Structure: a crystal structure in Alexandria, relaxed with GGA-PBE.

Top 8 peaks for 10 to 90 degrees two-theta, by intensity:
two_theta  Rel. int.  index
35.6  100.0  1 2 3
33.8  31.6  0 4 0
40.3  21.7  2 0 0
61.6  19.5  1 6 3
53.6  17.1  2 4 0
70.2  15.5  3 2 3
27.2  12.0  1 2 1
26.8  10.1  1 1 2

Cell and atoms:
Cell: 4.476 10.613 11.228 Å, 90.00 90.00 90.00°
Space group Immm (No. 71)
Inequivalent atoms, fractional coordinates:
Ce 0.000 0.000 0.000 (multiplicity 2)
Ce 0.000 0.000 0.376 (multiplicity 4)
Ce 0.000 0.260 0.165 (multiplicity 8)
Pu 0.000 0.500 0.341 (multiplicity 4)
Rh 0.000 0.256 0.500 (multiplicity 4)

=====

# 6
This entry pairs a crystal structure of HfTe2Mo2Se4 with its calculated XRD peak list. Radiation: Cu Kα (weighted mean of Kα1 and Kα2). Structure: a crystal structure in Alexandria, relaxed with GGA-PBE.

Top 8 peaks for 10 to 90 degrees two-theta, by intensity:
two_theta  Rel. int.  index
11.5  100.0  0 0 3
36.4  95.0  1 0 5
30.6  49.5  1 0 0
44.2  39.9  0 1 8
54.3  37.6  1 1 0
34.4  30.3  0 1 4
32.8  26.8  0 1 3
38.7  24.0  0 1 6

Cell and atoms:
Cell: 3.3775 3.3775 22.9886 Å, 90.00 90.00 120.00°
Space group P3m1 (No. 156)
Inequivalent atoms, fractional coordinates:
Hf 0.0000 0.0000 0.0000 (multiplicity 1)
Te 0.6667 0.3333 0.0957 (multiplicity 1)
Te 0.6667 0.3333 0.9043 (multiplicity 1)
Mo 0.0000 0.0000 0.6405 (multiplicity 1)
Mo 0.6667 0.3333 0.3356 (multiplicity 1)
Se 0.0000 0.0000 0.2636 (multiplicity 1)
Se 0.0000 0.0000 0.4076 (multiplicity 1)
Se 0.6667 0.3333 0.5685 (multiplicity 1)
Se 0.6667 0.3333 0.7125 (multiplicity 1)

=====

# 7
This entry pairs a crystal structure of AcLa4Pm2Ho with its calculated XRD peak list. Radiation: Cu Kα (weighted mean of Kα1 and Kα2). Structure: a crystal structure in Alexandria, relaxed with GGA-PBE.

Top 8 peaks for 10 to 90 degrees two-theta, by intensity:
two_theta  Rel. int.  index
29.4  100.0  1 1 2
33.8  17.1  2 0 -4
34.0  17.0  0 2 0
34.3  16.7  4 0 0
58.1  14.7  1 3 2
57.8  14.6  5 1 -6
58.4  14.4  7 1 -2
60.9  12.6  6 2 -4

Cell and atoms:
Cell: 11.733 5.268 10.595 Å, 90.00 116.81 90.00°
Space group C2/m (No. 12)
Inequivalent atoms, fractional coordinates:
Ac 0.000 0.000 0.000 (multiplicity 2)
La 0.246 0.000 0.869 (multiplicity 4)
La 0.249 0.500 0.622 (multiplicity 4)
Pm 0.001 0.500 0.744 (multiplicity 4)
Ho 0.000 0.000 0.500 (multiplicity 2)

=====

# 8
This entry pairs a crystal structure of Ti8BiO7 with its calculated XRD peak list. Radiation: Cu Kα (weighted mean of Kα1 and Kα2). Structure: a crystal structure in Alexandria, relaxed with GGA-PBE.

Top 8 peaks for 10 to 90 degrees two-theta, by intensity:
two_theta  Rel. int.  index
39.0  100.0  2 2 1
32.1  67.6  1 1 1
12.4  67.2  1 1 0
31.7  56.2  0 6 0
37.8  50.1  3 3 0
41.6  38.5  1 5 1
31.0  33.7  2 4 0
58.1  29.9  2 8 1

Cell and atoms:
Cell: 7.877 16.947 3.027 Å, 90.00 90.00 90.00°
Space group Cmmm (No. 65)
Inequivalent atoms, fractional coordinates:
Ti 0.000 0.204 0.000 (multiplicity 4)
Ti 0.176 0.000 0.000 (multiplicity 4)
Ti 0.183 0.329 0.500 (multiplicity 8)
Bi 0.000 0.500 0.500 (multiplicity 2)
O 0.000 0.000 0.500 (multiplicity 2)
O 0.000 0.323 0.000 (multiplicity 4)
O 0.176 0.121 0.000 (multiplicity 8)